Diffraction record for YGaN2. The powder X-ray diffraction pattern is theoretical, not measured: it uses a crystal structure in the Materials Project, relaxed with GGA-PBE and λ = 1.5418 Å (Cu Kα).

Largest 10 diffraction maxima, sorted by position, 10° ≤ 2θ ≤ 90°:
- 29.33°, intensity 25
- 30.29°, intensity 100
- 31.11°, intensity 50
- 33.61°, intensity 38
- 34.88°, intensity 45
- 43.21°, intensity 49
- 52.37°, intensity 13
- 53.93°, intensity 31
- 59.57°, intensity 22
- 64.09°, intensity 13

Cell and atoms:
```
16
Lattice="5.8637 0.0000 0.0000 0.0000 6.9880 0.0000 -1.9342 0.0000 5.5083" Properties=species:S:1:pos:R:3 pbc="T T T"
Y 0.1216 0.7356 1.6051
Y -0.8455 2.7584 4.3593
Y 4.7750 4.2296 1.1490
Y 3.8079 6.2524 3.9032
Ga 1.5503 4.5760 2.1153
Ga 0.5832 5.9060 4.8694
Ga 3.3464 1.0820 0.6389
Ga 2.3792 2.4120 3.3931
N 1.2687 4.6297 0.1745
N 0.3015 5.8522 2.9287
N -0.3278 0.7313 5.3345
N 0.6393 2.7627 2.5803
N 3.2902 4.2253 2.9280
N 4.2573 6.2567 0.1738
N 3.6280 1.1357 2.5796
N 2.6609 2.3582 5.3338
```

=====

Diffraction record for Y2GaN3. The powder X-ray diffraction pattern is theoretical, not measured: it uses a crystal structure in the Materials Project, relaxed with GGA-PBE and λ = 1.5418 Å (Cu Kα).

Largest 10 diffraction maxima, sorted by position, 10° ≤ 2θ ≤ 90°:
- 28.80°, intensity 42
- 30.94°, intensity 35
- 31.38°, intensity 30
- 31.50°, intensity 33
- 32.09°, intensity 100
- 33.61°, intensity 53
- 34.65°, intensity 62
- 37.39°, intensity 29
- 37.81°, intensity 26
- 43.27°, intensity 27

Cell and atoms:
```
24
Lattice="2.7961 -5.2374 0.0000 2.7961 5.2374 0.0000 -0.7793 0.0000 11.4014" Properties=species:S:1:pos:R:3 pbc="T T T"
Y 0.6678 2.1974 9.7096
Y 0.9014 1.1316 4.8719
Y 0.5117 -1.1316 10.5726
Y 1.0575 -2.1974 4.0089
Y 3.7555 2.1974 7.3925
Y 4.3012 1.1316 0.8288
Y 3.9116 -1.1316 6.5295
Y 4.1451 -2.1974 1.6918
Ga 1.0268 0.0304 7.5469
Ga 1.4164 -0.0304 1.8462
Ga 3.3965 0.0304 9.5552
Ga 3.7862 -0.0304 3.8545
N 2.6013 4.9623 2.8504
N 1.1034 1.0747 0.2732
N 1.4328 1.9090 7.1248
N 0.7137 -1.0747 5.9739
N 2.6013 1.1717 2.8504
N 2.9905 1.9090 9.9774
N 1.8224 -1.9090 1.4241
N 2.2116 -1.1717 8.5511
N 4.0992 1.0747 5.4275
N 3.3802 -1.9090 4.2766
N 3.7096 -1.0747 11.1282
N 2.2116 -4.9623 8.5511
```